[1]
Theoretical powder XRD pattern
Compound: Sm2Zr3Ge4
Radiation: a wavelength of 1.5418 Å
Structure: a structure optimized by DFT (PBE)
Kinematic intensities with the Lorentz-polarization factor, no thermal factor.

Peak list (12 most intense, 10° ≤ 2θ ≤ 90°, by angle)
index  2θ/deg  d [Å]  Rel. int.
1 2 1  31.7  2.825  36
2 1 -2  31.9  2.803  38
2 2 -1  34.1  2.629  99
1 1 2  34.5  2.598  100
2 2 0  34.8  2.577  33
3 0 0  38.1  2.363  24
0 3 1  38.3  2.353  52
3 0 -2  38.4  2.344  26
1 1 -3  38.8  2.320  52
3 3 -1  51.6  1.770  18
3 1 -4  56.0  1.643  13
1 3 3  59.1  1.564  15

Crystal structure
```
data_Sm2Zr3Ge4
_cell_length_a 7.5097
_cell_length_b 7.5073
_cell_length_c 7.3189
_cell_angle_alpha 90.00
_cell_angle_beta 109.27
_cell_angle_gamma 90.00
_symmetry_space_group_name_H-M 'P 1 21/c 1'
_symmetry_Int_Tables_number 14
loop_
_symmetry_equiv_pos_as_xyz
'x,y,z'
'-x,-y,-z'
'-x,y+1/2,-z+1/2'
'x,-y+1/2,z+1/2'
loop_
_atom_site_label
_atom_site_type_symbol
_atom_site_fract_x
_atom_site_fract_y
_atom_site_fract_z
Sm1 Sm 0.1894 0.1718 0.0668
Zr1 Zr 0.2530 0.6741 0.2490
Zr2 Zr 0.5000 0.0000 0.5000
Ge1 Ge 0.0846 0.5370 0.8593
Ge2 Ge 0.4911 0.1314 0.8645
```

=====

[2]
Theoretical powder XRD pattern
Compound: HoNb2S5
Radiation: a wavelength of 1.5418 Å
Structure: a structure optimized by DFT (PBE)
Kinematic intensities with the Lorentz-polarization factor, no thermal factor.

Peak list (12 most intense, 10° ≤ 2θ ≤ 90°, by angle)
index  2θ/deg  d [Å]  Rel. int.
0 1 0  13.3  6.638  100
1 0 1  17.4  5.100  8
1 1 1  21.6  4.117  8
-1 1 1  30.5  2.933  13
1 -1 2  30.7  2.915  14
2 0 1  31.9  2.809  8
0 1 2  32.3  2.772  12
2 1 1  34.2  2.625  16
1 2 -1  38.0  2.366  10
0 2 2  40.1  2.246  9
2 2 1  41.3  2.187  8
2 -3 1  53.8  1.705  8

Crystal structure
```
data_HoNb2S5
_cell_length_a 5.6224
_cell_length_b 6.6429
_cell_length_c 6.7004
_cell_angle_alpha 88.98
_cell_angle_beta 65.59
_cell_angle_gamma 87.72
_symmetry_space_group_name_H-M 'P -1'
_symmetry_Int_Tables_number 2
loop_
_symmetry_equiv_pos_as_xyz
'x,y,z'
'-x,-y,-z'
loop_
_atom_site_label
_atom_site_type_symbol
_atom_site_fract_x
_atom_site_fract_y
_atom_site_fract_z
Ho1 Ho 0.0000 0.0000 0.0000
Nb1 Nb 0.3076 0.0094 0.4126
S1 S 0.0026 0.2367 0.6554
S2 S 0.3277 0.7578 0.6597
S3 S 0.5000 0.0000 0.0000
```

=====

[3]
Theoretical powder XRD pattern
Compound: In8BiPb6
Radiation: a wavelength of 1.5418 Å
Structure: a structure optimized by DFT (PBE)
Kinematic intensities with the Lorentz-polarization factor, no thermal factor.

Peak list (12 most intense, 10° ≤ 2θ ≤ 90°, by angle)
index  2θ/deg  d [Å]  Rel. int.
0 0 3  13.3  6.664  12
1 1 3  24.1  3.699  13
0 0 6  26.8  3.332  15
3 -1 1  31.0  2.881  12
1 2 2  32.0  2.795  100
2 0 5  32.3  2.774  23
1 0 7  33.5  2.678  23
2 -1 6  33.6  2.667  13
3 -1 4  35.7  2.515  46
1 1 9  45.7  1.987  12
4 1 0  54.6  1.680  29
3 2 7  61.8  1.501  15

Crystal structure
```
data_In8BiPb6
_cell_length_a 8.8932
_cell_length_b 8.8932
_cell_length_c 19.9930
_cell_angle_alpha 90.00
_cell_angle_beta 90.00
_cell_angle_gamma 120.00
_symmetry_space_group_name_H-M 'R -3'
_symmetry_Int_Tables_number 148
_symmetry_space_group_name_Hall '-R 3'
loop_
_atom_site_label
_atom_site_type_symbol
_atom_site_fract_x
_atom_site_fract_y
_atom_site_fract_z
In1 In 0.0000 0.0000 0.0732
In2 In 0.0766 0.8329 0.6597
Bi1 Bi 0.0000 0.0000 0.5000
Pb1 Pb 0.0426 0.7923 0.1983
```

=====

[4]
Theoretical powder XRD pattern
Compound: Cd2CuTcO6
Radiation: a wavelength of 1.5418 Å
Structure: a structure optimized by DFT (PBE)
Kinematic intensities with the Lorentz-polarization factor, no thermal factor.

Peak list (12 most intense, 10° ≤ 2θ ≤ 90°, by angle)
index  2θ/deg  d [Å]  Rel. int.
0 0 1  17.9  4.965  7
1 1 1  30.3  2.949  100
2 0 0  34.6  2.591  33
0 0 2  36.2  2.482  13
1 1 2  44.1  2.055  7
2 2 0  49.8  1.832  20
2 0 2  50.9  1.793  24
3 1 1  59.4  1.556  28
1 1 3  61.5  1.508  12
2 2 2  63.1  1.474  10
4 0 0  73.0  1.296  6
3 1 3  82.9  1.165  10

Crystal structure
```
data_Cd2CuTcO6
_cell_length_a 5.1827
_cell_length_b 5.1827
_cell_length_c 4.9649
_cell_angle_alpha 90.00
_cell_angle_beta 90.00
_cell_angle_gamma 90.00
_symmetry_space_group_name_H-M 'P 4 m m'
_symmetry_Int_Tables_number 99
loop_
_symmetry_equiv_pos_as_xyz
'x,y,z'
'-y,x,z'
'-x,-y,z'
'y,-x,z'
'-x,y,z'
'y,x,z'
'x,-y,z'
'-y,-x,z'
loop_
_atom_site_label
_atom_site_type_symbol
_atom_site_fract_x
_atom_site_fract_y
_atom_site_fract_z
Cd1 Cd 0.0000 0.5000 0.0000
Cu1 Cu 0.0000 0.0000 0.5273
Tc1 Tc 0.5000 0.5000 0.5700
O1 O 0.0000 0.0000 0.1460
O2 O 0.2575 0.2575 0.6846
O3 O 0.5000 0.5000 0.2047
```

=====

[5]
Theoretical powder XRD pattern
Compound: Ac2ZnCu6Pt
Radiation: a wavelength of 1.5418 Å
Structure: a structure optimized by DFT (PBE)
Kinematic intensities with the Lorentz-polarization factor, no thermal factor.

Peak list (12 most intense, 10° ≤ 2θ ≤ 90°, by angle)
index  2θ/deg  d [Å]  Rel. int.
1 2 1  28.3  3.157  100
1 0 2  31.7  2.826  28
0 1 2  31.8  2.816  14
1 2 0  32.6  2.744  64
-1 1 1  32.8  2.732  68
2 2 0  39.5  2.280  20
0 1 -2  41.7  2.167  13
1 0 -2  41.8  2.160  25
1 -2 1  49.2  1.853  13
3 1 0  49.3  1.847  12
3 0 1  50.0  1.824  17
0 3 2  52.9  1.730  21

Crystal structure
```
data_Ac2ZnCu6Pt
_cell_length_a 6.3052
_cell_length_b 6.3165
_cell_length_c 6.5723
_cell_angle_alpha 61.70
_cell_angle_beta 61.54
_cell_angle_gamma 60.11
_symmetry_space_group_name_H-M 'P -1'
_symmetry_Int_Tables_number 2
loop_
_symmetry_equiv_pos_as_xyz
'x,y,z'
'-x,-y,-z'
loop_
_atom_site_label
_atom_site_type_symbol
_atom_site_fract_x
_atom_site_fract_y
_atom_site_fract_z
Ac1 Ac 0.1992 0.2004 0.4018
Zn1 Zn 0.0000 0.0000 0.0000
Cu1 Cu 0.1716 0.6206 0.8891
Cu2 Cu 0.3184 0.1723 0.8866
Cu3 Cu 0.3785 0.6828 0.1113
Pt1 Pt 0.5000 0.5000 0.5000
```

=====

[6]
Theoretical powder XRD pattern
Compound: Pm4OsO
Radiation: a wavelength of 1.5418 Å
Structure: a structure optimized by DFT (PBE)
Kinematic intensities with the Lorentz-polarization factor, no thermal factor.

Peak list (12 most intense, 10° ≤ 2θ ≤ 90°, by angle)
index  2θ/deg  d [Å]  Rel. int.
1 0 1  14.9  5.964  16
2 0 0  19.5  4.542  40
2 1 1  24.6  3.614  22
2 2 0  27.8  3.212  15
2 0 2  30.0  2.982  100
3 1 0  31.1  2.873  43
3 1 2  38.7  2.324  48
4 0 0  39.7  2.271  28
0 0 4  45.9  1.976  16
3 3 2  48.3  1.883  49
5 3 0  59.3  1.558  16
7 3 2  84.9  1.142  17

Crystal structure
```
data_Pm4OsO
_cell_length_a 9.0850
_cell_length_b 9.0850
_cell_length_c 7.9050
_cell_angle_alpha 90.00
_cell_angle_beta 90.00
_cell_angle_gamma 90.00
_symmetry_space_group_name_H-M 'I 41 m d'
_symmetry_Int_Tables_number 109
_symmetry_space_group_name_Hall 'I 4bw -2'
loop_
_atom_site_label
_atom_site_type_symbol
_atom_site_fract_x
_atom_site_fract_y
_atom_site_fract_z
Pm1 Pm 0.0000 0.3041 0.0000
Pm2 Pm 0.0000 0.3049 0.4657
Os1 Os 0.0000 0.0000 0.4895
O1 O 0.0000 0.0000 0.9574
```